Theoretical powder diffractogram
Compound: Cs2NiSbF6
Radiation: copper Kα
Structure: a structure optimized by DFT (PBE+U)
Peak positions follow from Bragg's law for the DFT cell and can differ from measured ones.

Peak list (6 most intense, 2θ = 10–90°, sorted by position)
2θ 26.75, intensity 100, hkl 1 1 2; 2θ 29.08, intensity 39, hkl 2 0 0; 2θ 34.51, intensity 23, hkl 0 0 4; 2θ 41.59, intensity 28, hkl 2 2 0; 2θ 50.14, intensity 35, hkl 3 1 2; 2θ 55.12, intensity 22, hkl 2 2 4

Structural model:
```
data_Cs2NiSbF6
_space_group_name_H-M_alt 'I 4/m m m'
_space_group_IT_number 139
_space_group_name_Hall '-I 4 2'
_cell_length_a 6.142
_cell_length_b 6.142
_cell_length_c 10.395
_cell_angle_alpha 90.00
_cell_angle_beta 90.00
_cell_angle_gamma 90.00
loop_
_atom_site_label
_atom_site_type_symbol
_atom_site_fract_x
_atom_site_fract_y
_atom_site_fract_z
Cs1 Cs 0.000 0.500 0.250
Ni1 Ni 0.000 0.000 0.000
Sb1 Sb 0.000 0.000 0.500
F1 F 0.000 0.000 0.289
F2 F 0.243 0.243 0.000
```